(1)
Computed X-ray diffraction stick pattern
Compound: MgHg5
Radiation: Cu Kα, 1.54184 Å
Structure: a GGA-PBE-relaxed structure

Structure:
Lattice parameters (Å, degrees): 5.6090 5.6090 16.7420 90.00 90.00 120.00
Space group R32 (No. 155, hexagonal axes)
Asymmetric unit:
Mg (0.0000, 0.0000, 0.0000) [3 per cell]
Hg (0.0000, 0.0000, 0.3381) [6 per cell]
Hg (0.0000, 0.6577, 0.5000) [9 per cell]

Most intense lines, 2θ = 10–90°, in order of falling intensity:
hkl  2θ/deg  intensity
1 1 3  35.8  1000
0 0 6  32.1  292
3 0 6  66.8  247
1 1 0  31.9  243
1 1 9  59.6  228
1 1 6  45.9  181

(2)
Computed X-ray diffraction stick pattern
Compound: Mg6AlBiO8
Radiation: Cu Kα, 1.54184 Å
Structure: a GGA-PBE-relaxed structure

Structure:
Lattice parameters (Å, degrees): 4.563 4.563 8.891 90.00 90.00 90.00
Space group P4/mmm (No. 123)
Asymmetric unit:
Mg (0.000, 0.000, 0.000) [1 per cell]
Mg (0.000, 0.500, 0.233) [4 per cell]
Mg (0.500, 0.500, 0.000) [1 per cell]
Al (0.000, 0.000, 0.500) [1 per cell]
Bi (0.500, 0.500, 0.500) [1 per cell]
O (0.000, 0.000, 0.233) [2 per cell]
O (0.000, 0.500, 0.000) [2 per cell]
O (0.000, 0.500, 0.500) [2 per cell]
O (0.500, 0.500, 0.227) [2 per cell]

Most intense lines, 2θ = 10–90°, in order of falling intensity:
hkl  2θ/deg  intensity
1 0 1  21.9  1000
2 0 0  39.5  962
1 1 2  34.3  682
1 0 0  19.5  663
1 0 2  28.0  571
2 0 4  57.9  539

(3)
Computed X-ray diffraction stick pattern
Compound: SrYGa3O7
Radiation: Cu Kα, 1.54184 Å
Structure: a GGA-PBE-relaxed structure

Structure:
Lattice parameters (Å, degrees): 11.175 11.502 5.298 90.00 90.00 90.00
Space group Cmm2 (No. 35)
Asymmetric unit:
Sr (0.000, 0.163, 0.000) [4 per cell]
Y (0.160, 0.500, 0.974) [4 per cell]
Ga (0.000, 0.361, 0.456) [4 per cell]
Ga (0.150, 0.000, 0.524) [4 per cell]
Ga (0.250, 0.250, 0.500) [4 per cell]
O (0.000, 0.000, 0.667) [2 per cell]
O (0.000, 0.376, 0.800) [4 per cell]
O (0.000, 0.500, 0.270) [2 per cell]
O (0.127, 0.291, 0.287) [8 per cell]
O (0.159, 0.000, 0.183) [4 per cell]
O (0.223, 0.122, 0.709) [8 per cell]

Most intense lines, 2θ = 10–90°, in order of falling intensity:
hkl  2θ/deg  intensity
1 3 1  29.9  1000
3 1 1  30.3  942
2 2 1  27.9  321
4 2 0  35.7  304
2 4 0  35.1  301
2 4 2  49.5  298

(4)
Computed X-ray diffraction stick pattern
Compound: Ti3B4
Radiation: Cu Kα, 1.54184 Å
Structure: a GGA-PBE-relaxed structure

Structure:
Lattice parameters (Å, degrees): 3.039 3.257 13.757 90.00 90.00 90.00
Space group Immm (No. 71)
Asymmetric unit:
Ti (0.000, 0.000, 0.000) [2 per cell]
Ti (0.000, 0.500, 0.314) [4 per cell]
B (0.000, 0.000, 0.436) [4 per cell]
B (0.000, 0.500, 0.131) [4 per cell]

Most intense lines, 2θ = 10–90°, in order of falling intensity:
hkl  2θ/deg  intensity
1 1 2  42.8  1000
1 0 3  35.4  798
0 1 5  43.0  689
0 1 1  28.2  353
0 0 6  39.3  260
1 2 3  68.5  252